# FePO4
Theoretical powder diffraction line list, λ = 1.5418 Å (Cu Kα). Input: a crystal structure in Alexandria, relaxed with PBE+U.

Crystal structure
Lattice parameters (Å, degrees): 9.949 8.698 5.399 90.00 90.00 90.00
Space group Pna2_1 (No. 33)
Symmetry-distinct sites (fractional):
Fe 0.128 0.153 0.000 [4 per cell]
P 0.187 0.954 0.500 [4 per cell]
O 0.061 0.851 0.472 [4 per cell]
O 0.181 0.091 0.319 [4 per cell]
O 0.187 0.356 0.942 [4 per cell]
O 0.199 0.015 0.767 [4 per cell]

Main lines, by intensity (2θ = 10–80°):
- 19.35 deg, I = 100
- 13.52 deg, I = 99
- 20.57 deg, I = 33
- 27.83 deg, I = 32
- 28.81 deg, I = 25
- 17.83 deg, I = 24
- 33.19 deg, I = 18
- 56.05 deg, I = 14
- 31.97 deg, I = 13
- 36.31 deg, I = 11